Pm6NdTm3: theoretical powder diffractogram (Cu Kα X-rays), based on a crystal structure in Alexandria, relaxed with PBE.
Intensities are scaled so that the largest is 100.

Principal peaks in the range 2θ from 10° to 80°, low angle first:
28.4°, rel. 59
28.7°, rel. 35
30.8°, rel. 60
31.1°, rel. 100
31.8°, rel. 54
32.5°, rel. 40
33.3°, rel. 61
34.2°, rel. 28
55.9°, rel. 37
56.5°, rel. 30

Crystal structure
a = 11.719 Å, b = 11.719 Å, c = 6.446 Å
α = 90.00°, β = 90.00°, γ = 130.71°
Sites, in units of the cell vectors:
Pm: 0.015 0.985 0.500
Pm: 0.107 0.545 0.034
Pm: 0.263 0.380 0.284
Pm: 0.301 0.699 0.506
Pm: 0.380 0.263 0.784
Pm: 0.455 0.893 0.034
Pm: 0.545 0.107 0.534
Pm: 0.620 0.737 0.284
Pm: 0.699 0.301 0.006
Pm: 0.737 0.620 0.784
Pm: 0.893 0.455 0.534
Pm: 0.985 0.015 0.000
Nd: 0.158 0.842 0.712
Nd: 0.842 0.158 0.212
Tm: 0.043 0.295 0.692
Tm: 0.295 0.043 0.192
Tm: 0.419 0.581 0.804
Tm: 0.581 0.419 0.304
Tm: 0.705 0.957 0.692
Tm: 0.957 0.705 0.192

TbSnAu4: theoretical powder diffractogram (Cu Kα X-rays), based on a crystal structure in Alexandria, relaxed with PBE.
Intensities are scaled so that the largest is 100.

Principal peaks in the range 2θ from 10° to 80°, low angle first:
34.5°, rel. 66
38.2°, rel. 100
49.5°, rel. 12
49.6°, rel. 12
60.2°, rel. 7
64.2°, rel. 33
64.3°, rel. 11
71.3°, rel. 16
72.7°, rel. 4
72.8°, rel. 4

Crystal structure
a = 5.197 Å, b = 9.223 Å, c = 5.204 Å
α = 90.00°, β = 90.14°, γ = 90.00°
Sites, in units of the cell vectors:
Tb: 0.000 0.000 0.000
Tb: 0.500 0.500 0.000
Sn: 0.000 0.500 0.500
Sn: 0.500 0.000 0.500
Au: 0.000 0.169 0.500
Au: 0.000 0.330 0.000
Au: 0.000 0.670 0.000
Au: 0.000 0.831 0.500
Au: 0.500 0.170 0.000
Au: 0.500 0.331 0.500
Au: 0.500 0.669 0.500
Au: 0.500 0.830 0.000

Pr6Nd2Mg: theoretical powder diffractogram (Cu Kα X-rays), based on a crystal structure in Alexandria, relaxed with PBE.
Intensities are scaled so that the largest is 100.

Principal peaks in the range 2θ from 10° to 80°, low angle first:
11.4°, rel. 4
29.9°, rel. 100
34.4°, rel. 17
34.8°, rel. 33
49.7°, rel. 24
50.0°, rel. 12
58.9°, rel. 15
59.3°, rel. 28
62.1°, rel. 12
73.4°, rel. 4

Crystal structure
a = 10.948 Å, b = 10.948 Å, c = 5.210 Å
α = 90.00°, β = 90.00°, γ = 90.00°
Sites, in units of the cell vectors:
Pr: 0.000 0.331 0.000
Pr: 0.000 0.669 0.000
Pr: 0.165 0.165 0.500
Pr: 0.169 0.500 0.500
Pr: 0.331 0.000 0.000
Pr: 0.335 0.665 0.000
Pr: 0.500 0.169 0.500
Pr: 0.500 0.831 0.500
Pr: 0.665 0.335 0.000
Pr: 0.669 0.000 0.000
Pr: 0.831 0.500 0.500
Pr: 0.835 0.835 0.500
Nd: 0.166 0.834 0.500
Nd: 0.334 0.334 0.000
Nd: 0.666 0.666 0.000
Nd: 0.834 0.166 0.500
Mg: 0.000 0.000 0.000
Mg: 0.500 0.500 0.500

K2In9Ag6: theoretical powder diffractogram (Cu Kα X-rays), based on a crystal structure in Alexandria, relaxed with PBE.
Intensities are scaled so that the largest is 100.

Principal peaks in the range 2θ from 10° to 80°, low angle first:
16.1°, rel. 92
32.6°, rel. 29
34.5°, rel. 96
38.3°, rel. 100
39.6°, rel. 29
43.0°, rel. 15
54.0°, rel. 25
58.1°, rel. 27
71.0°, rel. 15
72.7°, rel. 27

Crystal structure
a = 6.346 Å, b = 6.346 Å, c = 13.649 Å
α = 90.00°, β = 90.00°, γ = 120.00°
Sites, in units of the cell vectors:
K: 0.000 0.000 0.168
K: 0.000 0.000 0.832
In: 0.000 0.500 0.000
In: 0.000 0.500 0.336
In: 0.000 0.500 0.664
In: 0.500 0.000 0.000
In: 0.500 0.000 0.336
In: 0.500 0.000 0.664
In: 0.500 0.500 0.000
In: 0.500 0.500 0.336
In: 0.500 0.500 0.664
Ag: 0.333 0.667 0.168
Ag: 0.333 0.667 0.500
Ag: 0.333 0.667 0.832
Ag: 0.667 0.333 0.168
Ag: 0.667 0.333 0.500
Ag: 0.667 0.333 0.832

Ce3BeGe6Pd2: theoretical powder diffractogram (Cu Kα X-rays), based on a crystal structure in Alexandria, relaxed with PBE.
Intensities are scaled so that the largest is 100.

Principal peaks in the range 2θ from 10° to 80°, low angle first:
28.4°, rel. 35
30.3°, rel. 74
32.3°, rel. 21
33.7°, rel. 61
36.9°, rel. 100
37.9°, rel. 53
42.0°, rel. 82
45.9°, rel. 36
62.9°, rel. 39
73.3°, rel. 34

Crystal structure
a = 5.909 Å, b = 5.909 Å, c = 7.968 Å
α = 90.00°, β = 90.00°, γ = 120.00°
Sites, in units of the cell vectors:
Ce: 0.000 0.000 0.000
Ce: 0.333 0.667 0.639
Ce: 0.667 0.333 0.361
Be: 0.000 0.000 0.500
Ge: 0.182 0.364 0.299
Ge: 0.182 0.818 0.299
Ge: 0.364 0.182 0.701
Ge: 0.636 0.818 0.299
Ge: 0.818 0.182 0.701
Ge: 0.818 0.636 0.701
Pd: 0.333 0.667 0.032
Pd: 0.667 0.333 0.968

Nd2Sm4Ge3H2: theoretical powder diffractogram (Cu Kα X-rays), based on a crystal structure in Alexandria, relaxed with PBE.
Intensities are scaled so that the largest is 100.

Principal peaks in the range 2θ from 10° to 80°, low angle first:
22.0°, rel. 20
28.1°, rel. 74
29.5°, rel. 20
30.9°, rel. 25
32.2°, rel. 23
35.2°, rel. 100
38.7°, rel. 65
49.4°, rel. 19
55.9°, rel. 24
67.8°, rel. 29

Crystal structure
a = 12.551 Å, b = 12.551 Å, c = 12.551 Å
α = 158.64°, β = 158.64°, γ = 30.38°
Sites, in units of the cell vectors:
Nd: 0.202 0.202 0.000
Nd: 0.798 0.798 0.000
Sm: 0.080 0.580 0.500
Sm: 0.420 0.920 0.500
Sm: 0.580 0.080 0.500
Sm: 0.920 0.420 0.500
Ge: 0.329 0.329 0.000
Ge: 0.500 0.500 0.000
Ge: 0.671 0.671 0.000
H: 0.100 0.100 0.000
H: 0.900 0.900 0.000

Ca3Mg7Sn4: theoretical powder diffractogram (Cu Kα X-rays), based on a crystal structure in Alexandria, relaxed with PBE.
Intensities are scaled so that the largest is 100.

Principal peaks in the range 2θ from 10° to 80°, low angle first:
19.7°, rel. 65
23.9°, rel. 100
24.5°, rel. 81
30.7°, rel. 64
31.3°, rel. 58
31.9°, rel. 59
32.1°, rel. 74
38.5°, rel. 72
38.9°, rel. 73
41.2°, rel. 53

Crystal structure
a = 9.070 Å, b = 9.070 Å, c = 10.904 Å
α = 122.98°, β = 122.98°, γ = 29.58°
Sites, in units of the cell vectors:
Ca: 0.000 0.000 0.000
Ca: 0.305 0.305 0.299
Ca: 0.695 0.695 0.701
Mg: 0.000 0.000 0.500
Mg: 0.163 0.163 0.435
Mg: 0.318 0.318 0.979
Mg: 0.488 0.488 0.689
Mg: 0.512 0.512 0.311
Mg: 0.682 0.682 0.021
Mg: 0.837 0.837 0.565
Sn: 0.116 0.116 0.831
Sn: 0.344 0.344 0.740
Sn: 0.656 0.656 0.260
Sn: 0.884 0.884 0.169

Na2ErPa2Se6: theoretical powder diffractogram (Cu Kα X-rays), based on a crystal structure in Alexandria, relaxed with PBE.
Intensities are scaled so that the largest is 100.

Principal peaks in the range 2θ from 10° to 80°, low angle first:
12.4°, rel. 80
25.4°, rel. 23
30.1°, rel. 100
38.7°, rel. 14
41.9°, rel. 13
42.4°, rel. 26
43.9°, rel. 24
53.8°, rel. 13
54.6°, rel. 13
70.0°, rel. 12

Crystal structure
a = 7.101 Å, b = 7.101 Å, c = 7.509 Å
α = 98.91°, β = 98.91°, γ = 119.45°
Sites, in units of the cell vectors:
Na: 0.167 0.833 0.000
Na: 0.833 0.167 0.000
Er: 0.000 0.000 0.500
Pa: 0.338 0.662 0.500
Pa: 0.662 0.338 0.500
Se: 0.072 0.407 0.726
Se: 0.250 0.250 0.267
Se: 0.407 0.072 0.726
Se: 0.593 0.928 0.274
Se: 0.750 0.750 0.733
Se: 0.928 0.593 0.274

Ni2Rh: theoretical powder diffractogram (Cu Kα X-rays), based on a crystal structure in Alexandria, relaxed with PBE.
Intensities are scaled so that the largest is 100.

Principal peaks in the range 2θ from 10° to 80°, low angle first:
16.9°, rel. 1
34.1°, rel. 1
35.1°, rel. 2
38.2°, rel. 8
43.0°, rel. 100
48.9°, rel. 34
52.2°, rel. 12
67.1°, rel. 3
71.6°, rel. 10
74.3°, rel. 15

Crystal structure
a = 2.634 Å, b = 2.634 Å, c = 10.509 Å
α = 90.00°, β = 90.00°, γ = 90.00°
Sites, in units of the cell vectors:
Ni: 0.250 0.250 0.077
Ni: 0.250 0.250 0.766
Ni: 0.750 0.750 0.234
Ni: 0.750 0.750 0.923
Rh: 0.250 0.250 0.407
Rh: 0.750 0.750 0.593

Nb3Si23: theoretical powder diffractogram (Cu Kα X-rays), based on a crystal structure in Alexandria, relaxed with PBE.
Intensities are scaled so that the largest is 100.

Principal peaks in the range 2θ from 10° to 80°, low angle first:
12.4°, rel. 29
19.7°, rel. 25
27.9°, rel. 21
30.7°, rel. 86
31.9°, rel. 84
33.2°, rel. 100
35.5°, rel. 25
52.8°, rel. 62
54.5°, rel. 20
56.1°, rel. 42

Crystal structure
a = 10.102 Å, b = 10.102 Å, c = 10.102 Å
α = 90.00°, β = 90.00°, γ = 90.00°
Sites, in units of the cell vectors:
Nb: 0.000 0.250 0.500
Nb: 0.000 0.750 0.500
Nb: 0.250 0.500 0.000
Nb: 0.500 0.000 0.250
Nb: 0.500 0.000 0.750
Nb: 0.750 0.500 0.000
Si: 0.000 0.311 0.116
Si: 0.000 0.311 0.884
Si: 0.000 0.500 0.250
Si: 0.000 0.500 0.750
Si: 0.000 0.689 0.116
Si: 0.000 0.689 0.884
Si: 0.116 0.000 0.311
Si: 0.116 0.000 0.689
Si: 0.184 0.184 0.184
Si: 0.184 0.184 0.816
Si: 0.184 0.816 0.184
Si: 0.184 0.816 0.816
Si: 0.189 0.500 0.384
Si: 0.189 0.500 0.616
Si: 0.250 0.000 0.500
Si: 0.311 0.116 0.000
Si: 0.311 0.884 0.000
Si: 0.316 0.316 0.316
Si: 0.316 0.316 0.684
Si: 0.316 0.684 0.316
Si: 0.316 0.684 0.684
Si: 0.384 0.189 0.500
Si: 0.384 0.811 0.500
Si: 0.500 0.250 0.000
Si: 0.500 0.384 0.189
Si: 0.500 0.384 0.811
Si: 0.500 0.616 0.189
Si: 0.500 0.616 0.811
Si: 0.500 0.750 0.000
Si: 0.616 0.189 0.500
Si: 0.616 0.811 0.500
Si: 0.684 0.316 0.316
Si: 0.684 0.316 0.684
Si: 0.684 0.684 0.316
Si: 0.684 0.684 0.684
Si: 0.689 0.116 0.000
Si: 0.689 0.884 0.000
Si: 0.750 0.000 0.500
Si: 0.811 0.500 0.384
Si: 0.811 0.500 0.616
Si: 0.816 0.184 0.184
Si: 0.816 0.184 0.816
Si: 0.816 0.816 0.184
Si: 0.816 0.816 0.816
Si: 0.884 0.000 0.311
Si: 0.884 0.000 0.689

DyPa4Sb5: theoretical powder diffractogram (Cu Kα X-rays), based on a crystal structure in Alexandria, relaxed with PBE.
Intensities are scaled so that the largest is 100.

Principal peaks in the range 2θ from 10° to 80°, low angle first:
17.0°, rel. 1
25.0°, rel. 14
29.0°, rel. 100
41.4°, rel. 77
49.0°, rel. 8
51.3°, rel. 28
60.0°, rel. 13
66.0°, rel. 3
68.0°, rel. 36
75.5°, rel. 27

Crystal structure
a = 7.554 Å, b = 7.554 Å, c = 7.554 Å
α = 99.60°, β = 99.60°, γ = 131.81°
Sites, in units of the cell vectors:
Dy: 0.000 0.000 0.000
Pa: 0.200 0.400 0.600
Pa: 0.400 0.800 0.200
Pa: 0.600 0.200 0.800
Pa: 0.800 0.600 0.400
Sb: 0.100 0.701 0.801
Sb: 0.299 0.100 0.399
Sb: 0.500 0.500 0.000
Sb: 0.701 0.900 0.601
Sb: 0.900 0.299 0.199

Pm4ZnPI2: theoretical powder diffractogram (Cu Kα X-rays), based on a crystal structure in Alexandria, relaxed with PBE.
Intensities are scaled so that the largest is 100.

Principal peaks in the range 2θ from 10° to 80°, low angle first:
28.8°, rel. 52
29.0°, rel. 100
30.7°, rel. 11
31.5°, rel. 20
35.0°, rel. 15
39.3°, rel. 15
40.1°, rel. 29
42.5°, rel. 39
43.5°, rel. 18
53.0°, rel. 19

Crystal structure
a = 7.434 Å, b = 4.157 Å, c = 8.052 Å
α = 90.00°, β = 107.12°, γ = 90.00°
Sites, in units of the cell vectors:
Pm: 0.224 0.000 0.195
Pm: 0.260 0.500 0.797
Pm: 0.740 0.500 0.203
Pm: 0.776 0.000 0.805
Zn: 0.500 0.000 0.000
P: 0.000 0.500 0.000
I: 0.000 0.000 0.500
I: 0.500 0.500 0.500